# Sb2H2Pd7Pb
Computed XRD peak list, CuKα. Input: a PBE-relaxed structure.
No peak broadening, texture or thermal motion is included.

Most intense lines, 2θ from 10° to 80°, sorted by position:
d/Å, two_theta, Rel. int., index
2.560, 35.06, 61.5, 0 2 2
2.543, 35.30, 38.7, 2 0 -3
2.289, 39.36, 53.7, 2 0 2
2.277, 39.57, 92.9, 0 2 3
2.261, 39.88, 38.8, 2 0 -4
2.230, 40.44, 56.5, 0 0 5
2.036, 44.51, 100.0, 2 2 -1
1.510, 61.38, 29.6, 2 2 4
1.497, 62.01, 33.9, 2 2 -6
1.220, 78.39, 29.8, 4 2 1

Cell and atoms:
Unit cell a=5.7530 b=5.7627 c=11.4812 alpha=90.00 beta=103.77 gamma=90.00
Space group C2/m (No. 12)
One atom of each set of equivalent atoms:
Sb 0.1793 0.0000 0.3844
H 0.0801 0.5000 0.1741
Pd 0.0000 0.5000 0.0000
Pd 0.1592 0.2502 0.8065
Pd 0.1767 0.5000 0.3762
Pb 0.0000 0.0000 0.0000

***

# Pm3H4Pb
Computed XRD peak list, CuKα. Input: a PBE-relaxed structure.
No peak broadening, texture or thermal motion is included.

Most intense lines, 2θ from 10° to 80°, sorted by position:
d/Å, two_theta, Rel. int., index
2.944, 30.36, 100.0, 1 0 2
2.774, 32.27, 46.6, 1 1 0
2.368, 37.99, 9.5, 1 0 3
2.228, 40.49, 8.1, 0 0 4
1.961, 46.29, 17.8, 2 0 0
1.737, 52.69, 15.7, 1 1 4
1.632, 56.36, 35.4, 2 1 2
1.472, 63.15, 8.9, 2 0 4
1.255, 75.82, 7.5, 3 0 2
1.241, 76.84, 8.0, 3 1 0

Cell and atoms:
Unit cell a=3.9229 b=3.9229 c=8.9120 alpha=90.00 beta=90.00 gamma=90.00
Space group P4/mmm (No. 123)
One atom of each set of equivalent atoms:
Pm 0.0000 0.0000 0.0000
Pm 0.5000 0.5000 0.2887
H 0.0000 0.5000 0.1472
Pb 0.0000 0.0000 0.5000

***

# Pm4Pr2H2Pb3
Computed XRD peak list, CuKα. Input: a PBE-relaxed structure.
No peak broadening, texture or thermal motion is included.

Most intense lines, 2θ from 10° to 80°, sorted by position:
d/Å, two_theta, Rel. int., index
4.752, 18.67, 21.8, 1 0 1
3.306, 26.97, 32.8, 1 1 2
3.270, 27.27, 11.2, 0 0 8
3.029, 29.49, 16.1, 1 1 4
2.957, 30.23, 19.9, 1 0 7
2.690, 33.31, 100.0, 1 1 6
2.416, 37.21, 50.3, 2 0 0
1.709, 53.64, 17.7, 2 2 0
1.619, 56.88, 11.4, 2 0 12
1.442, 64.62, 30.2, 3 1 6

Cell and atoms:
Unit cell a=4.8329 b=4.8329 c=26.1633 alpha=90.00 beta=90.00 gamma=90.00
Space group I4/mmm (No. 139)
One atom of each set of equivalent atoms:
Pm 0.0000 0.5000 0.0828
Pr 0.0000 0.0000 0.1991
H 0.0000 0.0000 0.1024
Pb 0.0000 0.0000 0.3256
Pb 0.0000 0.0000 0.5000